Starting from DFT lattice parameters and positions (PBE), the PXRD pattern of Al23V4 was computed for a wavelength of 1.5418 Å.
Kinematic intensities with the Lorentz-polarization factor, no thermal factor.

The 10 most intense peaks (2θ = 10–90°), low angle first:
d/Å	two_theta	Rel. int.
8.520	10.38	28
6.195	14.30	29
2.298	39.19	39
2.286	39.42	50
2.165	41.72	100
2.160	41.83	41
2.065	43.84	76
2.023	44.80	33
1.280	74.08	28
1.270	74.77	47

Structure:
```
data_Al23V4
_cell_length_a 7.679
_cell_length_b 7.679
_cell_length_c 17.040
_cell_angle_alpha 90.00
_cell_angle_beta 90.00
_cell_angle_gamma 120.00
_space_group_name_H-M_alt 'P 1'
_space_group_IT_number 1
loop_
_space_group_symop_operation_xyz
'x,y,z'
loop_
_atom_site_label
_atom_site_fract_x
_atom_site_fract_y
_atom_site_fract_z
Al1 0.082 0.541 0.166
Al2 0.082 0.541 0.334
Al3 0.125 0.250 0.617
Al4 0.125 0.250 0.883
Al5 0.125 0.875 0.617
Al6 0.125 0.875 0.883
Al7 0.126 0.251 0.250
Al8 0.126 0.874 0.250
Al9 0.211 0.421 0.030
Al10 0.211 0.421 0.470
Al11 0.211 0.789 0.030
Al12 0.211 0.789 0.470
Al13 0.250 0.125 0.117
Al14 0.250 0.125 0.383
Al15 0.251 0.126 0.750
Al16 0.333 0.667 0.616
Al17 0.333 0.667 0.884
Al18 0.421 0.211 0.530
Al19 0.421 0.211 0.970
Al20 0.459 0.541 0.166
Al21 0.459 0.541 0.334
Al22 0.459 0.918 0.166
Al23 0.459 0.918 0.334
Al24 0.541 0.082 0.666
Al25 0.541 0.082 0.834
Al26 0.541 0.459 0.666
Al27 0.541 0.459 0.834
Al28 0.579 0.789 0.030
Al29 0.579 0.789 0.470
Al30 0.667 0.333 0.116
Al31 0.667 0.333 0.384
Al32 0.749 0.874 0.250
Al33 0.750 0.875 0.617
Al34 0.750 0.875 0.883
Al35 0.789 0.211 0.530
Al36 0.789 0.211 0.970
Al37 0.789 0.579 0.530
Al38 0.789 0.579 0.970
Al39 0.874 0.126 0.750
Al40 0.874 0.749 0.750
Al41 0.875 0.125 0.117
Al42 0.875 0.125 0.383
Al43 0.875 0.750 0.117
Al44 0.875 0.750 0.383
Al45 0.918 0.459 0.666
Al46 0.918 0.459 0.834
V1 0.000 0.000 0.000
V2 0.000 0.000 0.500
V3 0.219 0.438 0.750
V4 0.219 0.781 0.750
V5 0.438 0.219 0.250
V6 0.562 0.781 0.750
V7 0.781 0.219 0.250
V8 0.781 0.562 0.250
```